Theoretical X-ray diffraction stick pattern
Compound: CaAl6Cu6
Radiation: Cu Ka
Structure: a PBE-relaxed structure

Top 6 peaks for 10° ≤ 2θ ≤ 90°, low angle first:
2θ/deg	intensity
20.60	79
41.00	70
41.21	66
41.35	43
41.91	42
46.31	100

Cell and atoms:
Lattice parameters (Å, degrees): 6.651 6.651 6.651 134.98 99.20 97.66
Positions (direct):
Ca  0.000  0.000  0.000
Al  0.203  0.703  0.500
Al  0.347  0.000  0.347
Al  0.350  0.350  0.000
Al  0.650  0.650  0.000
Al  0.653  0.000  0.653
Al  0.797  0.297  0.500
Cu  0.000  0.000  0.500
Cu  0.000  0.500  0.000
Cu  0.232  0.500  0.732
Cu  0.500  0.000  0.000
Cu  0.500  0.500  0.500
Cu  0.768  0.500  0.268

Theoretical X-ray diffraction stick pattern
Compound: CaErAlHg
Radiation: Cu Ka
Structure: a PBE-relaxed structure

Top 6 peaks for 10° ≤ 2θ ≤ 90°, low angle first:
2θ/deg	intensity
20.83	53
34.33	100
40.50	31
49.34	18
61.49	37
82.60	16

Cell and atoms:
Lattice parameters (Å, degrees): 5.224 5.224 5.224 60.00 60.00 60.00
Positions (direct):
Ca  0.000  0.000  0.000
Er  0.500  0.500  0.500
Al  0.250  0.250  0.250
Hg  0.750  0.750  0.750

Theoretical X-ray diffraction stick pattern
Compound: CaEuMgAl
Radiation: Cu Ka
Structure: a PBE-relaxed structure

Top 6 peaks for 10° ≤ 2θ ≤ 90°, low angle first:
2θ/deg	intensity
19.99	43
23.12	39
32.93	100
38.83	26
47.26	18
58.81	36

Cell and atoms:
Lattice parameters (Å, degrees): 5.440 5.440 5.440 60.00 60.00 60.00
Positions (direct):
Ca  0.000  0.000  0.000
Eu  0.500  0.500  0.500
Mg  0.250  0.250  0.250
Al  0.750  0.750  0.750